Diffraction record for BaNa4Ti2Si12O30. The powder diffraction line list is simulated, not measured: it uses a structure optimized by DFT (PBE) and copper Kα.
Neutral-atom scattering factors, no anomalous dispersion.

Crystal structure
a b c (Å): 10.204 17.445 7.385
angles (deg): 90.00 93.77 90.00
Space group C2/m (No. 12)
Unique sites:
Ba 0.000 0.000 0.000
Na 0.000 0.267 0.500
Na 0.224 0.500 0.516
Ti 0.000 0.084 0.500
Si 0.007 0.413 0.784
Si 0.218 0.154 0.187
Si 0.244 0.170 0.764
O 0.000 0.417 0.000
O 0.037 0.500 0.707
O 0.090 0.000 0.628
O 0.120 0.170 0.624
O 0.124 0.356 0.730
O 0.127 0.093 0.276
O 0.134 0.385 0.311
O 0.183 0.245 0.213
O 0.215 0.136 0.966

Peak list (10 most intense, 15 to 90 degrees two-theta, most intense first)
two_theta	Rel. int.	(hkl)
20.20	100.0	2 2 0
25.68	54.3	1 1 -2
24.15	39.1	2 2 1
38.07	36.6	2 6 1
29.90	31.2	1 5 1
30.50	26.5	3 3 0
26.96	26.0	2 4 0
31.79	25.6	0 4 2
28.96	25.6	2 0 -2
26.26	23.8	0 2 2